Calculated XRD peak list of Li12Mn3VP4C4O28 for Cu Kα X-rays, from a PBE+U-relaxed structure.
Peak positions follow from Bragg's law for the DFT cell and can differ from measured ones.

The 8 most intense peaks (5° ≤ 2θ ≤ 70°), low angle first:
2θ/deg	intensity
10.40	78
19.92	33
21.37	41
25.29	21
26.45	32
26.93	100
36.77	25
40.21	19

Structure:
```
data_Li12Mn3VP4C4O28
_chemical_formula_sum 'Li12 Mn3 V1 P4 C4 O28'
_symmetry_space_group_name_H-M 'P 1'
_symmetry_Int_Tables_number 1
_cell_length_a 8.5293
_cell_length_b 6.6210
_cell_length_c 10.0001
_cell_angle_alpha 90.00
_cell_angle_beta 94.56
_cell_angle_gamma 90.00
loop_
_symmetry_equiv_pos_as_xyz
'x,y,z'
loop_
_atom_site_label
_atom_site_type_symbol
_atom_site_fract_x
_atom_site_fract_y
_atom_site_fract_z
Li1 Li 0.0000 0.0000 0.0000
Li2 Li 0.0003 0.0000 0.5001
Li3 Li 0.1821 0.2223 0.2562
Li4 Li 0.1821 0.7777 0.2562
Li5 Li 0.1826 0.2230 0.7558
Li6 Li 0.1826 0.7770 0.7558
Li7 Li 0.6343 0.2771 0.5023
Li8 Li 0.6343 0.7229 0.5023
Li9 Li 0.6353 0.2773 0.0019
Li10 Li 0.6353 0.7227 0.0019
Li11 Li 0.8164 0.5000 0.7588
Li12 Li 0.8180 0.5000 0.2585
Mn1 Mn 0.2492 0.5000 0.9890
Mn2 Mn 0.5680 0.0000 0.2689
Mn3 Mn 0.5681 0.0000 0.7688
V1 V 0.2399 0.5000 0.4832
P1 P 0.3186 0.0000 0.0190
P2 P 0.3189 0.0000 0.5192
P3 P 0.4973 0.5000 0.7382
P4 P 0.4993 0.5000 0.2400
C1 C 0.8757 0.0000 0.2312
C2 C 0.8758 0.0000 0.7312
C3 C 0.9416 0.5000 0.0271
C4 C 0.9431 0.5000 0.5283
O1 O 0.0215 0.0000 0.2019
O2 O 0.0217 0.0000 0.7017
O3 O 0.0533 0.5000 0.1243
O4 O 0.0551 0.5000 0.6249
O5 O 0.2190 0.1832 0.4654
O6 O 0.2191 0.1838 0.9655
O7 O 0.2191 0.8162 0.9655
O8 O 0.2190 0.8168 0.4654
O9 O 0.3293 0.5000 0.7866
O10 O 0.3304 0.5000 0.2870
O11 O 0.3324 0.0000 0.1762
O12 O 0.3326 0.0000 0.6762
O13 O 0.4816 0.5000 0.5811
O14 O 0.4842 0.5000 0.0831
O15 O 0.4883 0.0000 0.4732
O16 O 0.4882 0.0000 0.9734
O17 O 0.5980 0.3165 0.7921
O18 O 0.5980 0.6835 0.7921
O19 O 0.5990 0.3161 0.2931
O20 O 0.5990 0.6839 0.2931
O21 O 0.7641 0.0000 0.1344
O22 O 0.7642 0.0000 0.6340
O23 O 0.7957 0.5000 0.0566
O24 O 0.7974 0.5000 0.5556
O25 O 0.8388 0.0000 0.3545
O26 O 0.8388 0.0000 0.8542
O27 O 0.9785 0.5000 0.9041
O28 O 0.9837 0.5000 0.4054
```

Calculated XRD peak list of Li2MnBO4 for Cu Kα X-rays, from a PBE+U-relaxed structure.
Peak positions follow from Bragg's law for the DFT cell and can differ from measured ones.

The 8 most intense peaks (5° ≤ 2θ ≤ 70°), low angle first:
2θ/deg	intensity
17.33	100
19.86	27
24.98	61
29.67	35
34.57	65
35.22	44
36.15	32
38.22	27

Structure:
```
data_Li2MnBO4
_chemical_formula_sum 'Li8 Mn4 B4 O16'
_symmetry_space_group_name_H-M 'P 1'
_symmetry_Int_Tables_number 1
_cell_length_a 10.2336
_cell_length_b 6.0210
_cell_length_c 4.9700
_cell_angle_alpha 90.00
_cell_angle_beta 90.00
_cell_angle_gamma 90.00
loop_
_symmetry_equiv_pos_as_xyz
'x,y,z'
loop_
_atom_site_label
_atom_site_type_symbol
_atom_site_fract_x
_atom_site_fract_y
_atom_site_fract_z
Li1 Li 0.1756 0.0072 0.2379
Li2 Li 0.1756 0.4928 0.2379
Li3 Li 0.3244 0.5072 0.7379
Li4 Li 0.3244 0.9928 0.7379
Li5 Li 0.6756 0.0072 0.2621
Li6 Li 0.6756 0.4928 0.2621
Li7 Li 0.8244 0.5072 0.7621
Li8 Li 0.8244 0.9928 0.7621
Mn1 Mn 0.0668 0.7500 0.8303
Mn2 Mn 0.4332 0.2500 0.3303
Mn3 Mn 0.5668 0.7500 0.6697
Mn4 Mn 0.9332 0.2500 0.1697
B1 B 0.0720 0.2500 0.7031
B2 B 0.4280 0.7500 0.2031
B3 B 0.5720 0.2500 0.7969
B4 B 0.9280 0.7500 0.2969
O1 O 0.0693 0.7500 0.2204
O2 O 0.0821 0.2500 0.4093
O3 O 0.1383 0.0480 0.8208
O4 O 0.1383 0.4520 0.8208
O5 O 0.3617 0.5480 0.3208
O6 O 0.3617 0.9520 0.3208
O7 O 0.4179 0.7500 0.9093
O8 O 0.4307 0.2500 0.7204
O9 O 0.5693 0.7500 0.2796
O10 O 0.5821 0.2500 0.0907
O11 O 0.6383 0.0480 0.6792
O12 O 0.6383 0.4520 0.6792
O13 O 0.8617 0.5480 0.1792
O14 O 0.8617 0.9520 0.1792
O15 O 0.9179 0.7500 0.5907
O16 O 0.9307 0.2500 0.7796
```

Calculated XRD peak list of LiFe2OF3 for Cu Kα X-rays, from a PBE+U-relaxed structure.
Peak positions follow from Bragg's law for the DFT cell and can differ from measured ones.

The 8 most intense peaks (5° ≤ 2θ ≤ 70°), low angle first:
2θ/deg	intensity
17.30	26
17.55	100
33.61	30
33.88	28
34.01	20
41.10	96
59.14	18
59.88	31

Structure:
```
data_LiFe2OF3
_chemical_formula_sum 'Li2 Fe4 O2 F6'
_symmetry_space_group_name_H-M 'P 1'
_symmetry_Int_Tables_number 1
_cell_length_a 6.1764
_cell_length_b 6.1764
_cell_length_c 6.2388
_cell_angle_alpha 119.56
_cell_angle_beta 119.56
_cell_angle_gamma 60.08
loop_
_symmetry_equiv_pos_as_xyz
'x,y,z'
loop_
_atom_site_label
_atom_site_type_symbol
_atom_site_fract_x
_atom_site_fract_y
_atom_site_fract_z
Li1 Li 0.1451 0.1451 0.4351
Li2 Li 0.8549 0.8549 0.5649
Fe1 Fe 0.0000 0.5000 0.0000
Fe2 Fe 0.5000 0.0000 0.0000
Fe3 Fe 0.5000 0.5000 0.0000
Fe4 Fe 0.5000 0.5000 0.5000
O1 O 0.2764 0.2764 0.8282
O2 O 0.7236 0.7236 0.1718
F1 F 0.2456 0.7392 0.7239
F2 F 0.2604 0.2604 0.2747
F3 F 0.2608 0.7544 0.2761
F4 F 0.7392 0.2456 0.7239
F5 F 0.7396 0.7396 0.7253
F6 F 0.7544 0.2608 0.2761
```

Calculated XRD peak list of MgFe6O10F2 for Cu Kα X-rays, from a PBE+U-relaxed structure.
Peak positions follow from Bragg's law for the DFT cell and can differ from measured ones.

The 8 most intense peaks (5° ≤ 2θ ≤ 70°), low angle first:
2θ/deg	intensity
23.43	100
27.30	94
35.11	28
35.50	46
35.65	34
36.94	23
54.06	32
56.33	18

Structure:
```
data_MgFe6O10F2
_chemical_formula_sum 'Mg1 Fe6 O10 F2'
_symmetry_space_group_name_H-M 'P 1'
_symmetry_Int_Tables_number 1
_cell_length_a 5.7266
_cell_length_b 5.9165
_cell_length_c 7.1571
_cell_angle_alpha 71.47
_cell_angle_beta 72.98
_cell_angle_gamma 81.47
loop_
_symmetry_equiv_pos_as_xyz
'x,y,z'
loop_
_atom_site_label
_atom_site_type_symbol
_atom_site_fract_x
_atom_site_fract_y
_atom_site_fract_z
Mg1 Mg 0.0000 0.0000 0.0000
Fe1 Fe 0.3882 0.7972 0.1701
Fe2 Fe 0.3904 0.7572 0.6609
Fe3 Fe 0.5881 0.2178 0.3406
Fe4 Fe 0.6075 0.1753 0.8262
Fe5 Fe 0.9542 0.5259 0.9955
Fe6 Fe 0.9890 0.4918 0.4958
O1 O 0.0987 0.5872 0.7034
O2 O 0.2334 0.7096 0.9575
O3 O 0.2981 0.1249 0.0116
O4 O 0.3342 0.4735 0.3439
O5 O 0.4353 0.9231 0.3743
O6 O 0.5483 0.0441 0.6289
O7 O 0.6456 0.5029 0.6547
O8 O 0.7207 0.8195 0.9962
O9 O 0.7478 0.2696 0.0380
O10 O 0.8765 0.3969 0.2928
F1 F 0.9877 0.8309 0.3059
F2 F 0.9955 0.1498 0.6923
```

Calculated XRD peak list of LiVPO4 for Cu Kα X-rays, from a PBE+U-relaxed structure.
Peak positions follow from Bragg's law for the DFT cell and can differ from measured ones.

The 8 most intense peaks (5° ≤ 2θ ≤ 70°), low angle first:
2θ/deg	intensity
20.45	53
22.28	32
25.16	72
29.21	67
34.97	100
35.93	28
51.64	33
60.87	30

Structure:
```
data_LiVPO4
_chemical_formula_sum 'Li4 V4 P4 O16'
_symmetry_space_group_name_H-M 'P 1'
_symmetry_Int_Tables_number 1
_cell_length_a 10.5306
_cell_length_b 6.1133
_cell_length_c 4.7667
_cell_angle_alpha 90.00
_cell_angle_beta 90.00
_cell_angle_gamma 90.00
loop_
_symmetry_equiv_pos_as_xyz
'x,y,z'
loop_
_atom_site_label
_atom_site_type_symbol
_atom_site_fract_x
_atom_site_fract_y
_atom_site_fract_z
Li1 Li 0.0000 0.0000 0.0000
Li2 Li 0.0000 0.5000 0.0000
Li3 Li 0.5000 0.0000 0.5000
Li4 Li 0.5000 0.5000 0.5000
V1 V 0.2251 0.2500 0.4833
V2 V 0.2749 0.7500 0.9833
V3 V 0.7251 0.2500 0.0167
V4 V 0.7749 0.7500 0.5167
P1 P 0.0910 0.7500 0.4135
P2 P 0.4090 0.2500 0.9135
P3 P 0.5910 0.7500 0.0865
P4 P 0.9090 0.2500 0.5865
O1 O 0.0459 0.2500 0.7074
O2 O 0.0959 0.7500 0.7358
O3 O 0.1605 0.5477 0.2774
O4 O 0.1605 0.9523 0.2774
O5 O 0.3395 0.0477 0.7774
O6 O 0.3395 0.4523 0.7774
O7 O 0.4041 0.2500 0.2358
O8 O 0.4541 0.7500 0.2074
O9 O 0.5459 0.2500 0.7926
O10 O 0.5959 0.7500 0.7642
O11 O 0.6605 0.5477 0.2226
O12 O 0.6605 0.9523 0.2226
O13 O 0.8395 0.0477 0.7226
O14 O 0.8395 0.4523 0.7226
O15 O 0.9041 0.2500 0.2642
O16 O 0.9541 0.7500 0.2926
```